Tb4HfAl15: simulated PXRD pattern (Cu Kα, 1.54184 Å), based on the GGA-PBE geometry in the Materials Project.
Kinematic intensities with the Lorentz-polarization factor, no thermal factor.

Most intense lines, 2θ = 5–70°, in order of rising 2θ:
d (Å)  I (rel.)  h k l
4.529  56  1 0 4
3.672  81  1 0 7
3.415  73  0 1 8
3.026  100  1 1 0
2.516  49  0 2 4
2.402  56  0 0 15
2.335  70  0 2 7
2.265  75  2 0 8
1.881  51  1 1 15
1.513  40  2 2 0

Structural model:
```
data_Tb4HfAl15
_symmetry_space_group_name_H-M 'R -3 m'
_symmetry_Int_Tables_number 166
_symmetry_space_group_name_Hall '-R 3 2"'
_cell_length_a 6.0510
_cell_length_b 6.0510
_cell_length_c 36.0240
_cell_angle_alpha 90.00
_cell_angle_beta 90.00
_cell_angle_gamma 120.00
loop_
_atom_site_label
_atom_site_fract_x
_atom_site_fract_y
_atom_site_fract_z
_atom_site_occupancy
Tb1 0.0000 0.0000 0.1001 1
Tb2 0.0000 0.0000 0.3690 1
Hf1 0.0000 0.0000 0.5000 1
Al1 0.0000 0.5000 0.5000 1
Al2 0.0050 0.5025 0.3666 1
Al3 0.0279 0.5139 0.8976 1
```

VPt: simulated PXRD pattern (Cu Kα, 1.54184 Å), based on the GGA-PBE geometry in the Materials Project.
Kinematic intensities with the Lorentz-polarization factor, no thermal factor.

Most intense lines, 2θ = 5–70°, in order of rising 2θ:
d (Å)  I (rel.)  h k l
4.810  14  0 0 1
3.249  60  1 0 1
2.709  22  0 1 0
2.405  19  0 0 2
2.360  16  0 1 1
2.203  36  2 0 0
2.111  38  1 0 2
2.081  100  1 1 1
1.709  12  2 1 0
1.380  15  0 1 3

Structural model:
```
data_VPt
_symmetry_space_group_name_H-M 'P m m a'
_symmetry_Int_Tables_number 51
_cell_length_a 4.4063
_cell_length_b 2.7087
_cell_length_c 4.8097
_cell_angle_alpha 90.00
_cell_angle_beta 90.00
_cell_angle_gamma 90.00
loop_
_symmetry_equiv_pos_as_xyz
'x,y,z'
'-x,-y,-z'
'-x+1/2,-y,z'
'x+1/2,y,-z'
'x+1/2,-y,-z'
'-x+1/2,y,z'
'-x,y,-z'
'x,-y,z'
loop_
_atom_site_label
_atom_site_fract_x
_atom_site_fract_y
_atom_site_fract_z
_atom_site_occupancy
V1 0.2500 0.0000 0.1706 1
Pt1 0.2500 0.5000 0.6815 1
```

Hf3Si2: simulated PXRD pattern (Cu Kα, 1.54184 Å), based on the GGA-PBE geometry in the Materials Project.
Kinematic intensities with the Lorentz-polarization factor, no thermal factor.

Most intense lines, 2θ = 5–70°, in order of rising 2θ:
d (Å)  I (rel.)  h k l
3.144  55  2 1 0
2.953  50  1 1 1
2.539  96  2 0 1
2.486  27  2 2 0
2.388  100  2 1 1
2.223  62  3 1 0
1.585  25  4 0 1
1.547  25  4 1 1
1.510  34  3 3 1
1.416  30  3 1 2

Structural model:
```
data_Hf3Si2
_symmetry_space_group_name_H-M 'P 4/m b m'
_symmetry_Int_Tables_number 127
_symmetry_space_group_name_Hall '-P 4 2ab'
_cell_length_a 7.0308
_cell_length_b 7.0308
_cell_length_c 3.6712
_cell_angle_alpha 90.00
_cell_angle_beta 90.00
_cell_angle_gamma 90.00
loop_
_atom_site_label
_atom_site_fract_x
_atom_site_fract_y
_atom_site_fract_z
_atom_site_occupancy
Hf1 0.0000 0.0000 0.0000 1
Hf2 0.1732 0.3268 0.5000 1
Si1 0.1239 0.6239 0.0000 1
```

Ce3Sn3Ge2: simulated PXRD pattern (Cu Kα, 1.54184 Å), based on the GGA-PBE geometry in the Materials Project.
Kinematic intensities with the Lorentz-polarization factor, no thermal factor.

Most intense lines, 2θ = 5–70°, in order of rising 2θ:
d (Å)  I (rel.)  h k l
3.049  100  1 0 5
2.798  42  1 0 6
2.568  21  1 0 7
2.324  84  1 1 0
1.946  14  0 0 12
1.848  24  2 0 5
1.788  11  2 0 6
1.492  34  1 1 12
1.447  22  2 1 5
1.417  10  2 1 6

Structural model:
```
data_Ce3Sn3Ge2
_symmetry_space_group_name_H-M 'P 63/m m c'
_symmetry_Int_Tables_number 194
_symmetry_space_group_name_Hall '-P 6c 2c'
_cell_length_a 4.6487
_cell_length_b 4.6487
_cell_length_c 23.3456
_cell_angle_alpha 90.00
_cell_angle_beta 90.00
_cell_angle_gamma 120.00
loop_
_atom_site_label
_atom_site_fract_x
_atom_site_fract_y
_atom_site_fract_z
_atom_site_occupancy
Ce1 0.3333 0.6667 0.0747 1
Ce2 0.3333 0.6667 0.2500 1
Sn1 0.0000 0.0000 0.0000 1
Sn2 0.3333 0.6667 0.6583 1
Ge1 0.0000 0.0000 0.1680 1
```

CdGeAsP: simulated PXRD pattern (Cu Kα, 1.54184 Å), based on the GGA-PBE geometry in the Materials Project.
Kinematic intensities with the Lorentz-polarization factor, no thermal factor.

Most intense lines, 2θ = 5–70°, in order of rising 2θ:
d (Å)  I (rel.)  h k l
4.187  4  1 1 0
3.358  100  1 1 2
2.093  23  2 2 0
2.042  22  0 2 4
2.034  22  2 0 4
1.782  15  1 3 2
1.771  15  3 1 2
1.710  14  1 1 6
1.486  4  0 4 0
1.354  6  3 3 2

Structural model:
```
data_CdGeAsP
_symmetry_space_group_name_H-M 'I 21 21 21'
_symmetry_Int_Tables_number 24
_cell_length_a 5.8958
_cell_length_b 5.9458
_cell_length_c 11.2427
_cell_angle_alpha 90.00
_cell_angle_beta 90.00
_cell_angle_gamma 90.00
loop_
_symmetry_equiv_pos_as_xyz
'x,y,z'
'-x,-y+1/2,z'
'x,-y,-z+1/2'
'-x,y+1/2,-z+1/2'
'x+1/2,y+1/2,z+1/2'
'-x+1/2,-y,z+1/2'
'x+1/2,-y+1/2,-z'
'-x+1/2,y,-z'
loop_
_atom_site_label
_atom_site_fract_x
_atom_site_fract_y
_atom_site_fract_z
_atom_site_occupancy
Cd1 0.0000 0.2500 0.1197 1
Ge1 0.0000 0.2500 0.6199 1
As1 0.2231 0.0000 0.7500 1
P1 0.2500 0.4671 0.5000 1
```